No. 1
For SmPu2O7, DFT lattice parameters and positions (GGA-PBE) gives the computed powder diffractogram in this record (CuKα).
Neutral-atom scattering factors, no anomalous dispersion.

Main lines, sorted by position (2θ = 15–90°):
| (hkl) | Position (°2θ) | intensity |
| --- | --- | --- |
| 0 0 6 | 17.2 | 28 |
| 0 0 9 | 26.0 | 51 |
| 1 0 1 | 27.0 | 38 |
| 0 1 2 | 27.5 | 100 |
| 0 1 5 | 30.6 | 52 |
| 1 0 7 | 33.8 | 67 |
| 1 1 0 | 47.4 | 57 |
| 0 1 14 | 49.6 | 42 |
| 1 1 9 | 54.8 | 40 |
| 1 0 16 | 55.0 | 23 |

Cell and atoms:
a b c (Å): 3.8360 3.8360 30.8703
angles (deg): 90.00 90.00 120.00
Space group R-3m (No. 166, hexagonal axes)
Inequivalent atoms, fractional coordinates:
Sm 0.0000 0.0000 0.0000 x3
Pu 0.0000 0.0000 0.4334 x6
O 0.0000 0.0000 0.0791 x6
O 0.0000 0.0000 0.2197 x6
O 0.0000 0.0000 0.3636 x6
O 0.0000 0.0000 0.5000 x3

***

No. 2
For Li2Y3Sn4, DFT lattice parameters and positions (GGA-PBE) gives the computed powder diffractogram in this record (CuKα).
Neutral-atom scattering factors, no anomalous dispersion.

Main lines, sorted by position (2θ = 15–90°):
| (hkl) | Position (°2θ) | intensity |
| --- | --- | --- |
| 3 1 -1 | 30.6 | 92 |
| 2 0 -3 | 31.0 | 41 |
| 3 1 0 | 31.6 | 72 |
| 1 1 2 | 32.1 | 100 |
| 0 0 3 | 32.2 | 30 |
| 3 1 -3 | 39.2 | 69 |
| 0 2 0 | 39.6 | 54 |
| 4 0 2 | 45.4 | 32 |
| 2 2 -3 | 51.1 | 33 |
| 2 0 -5 | 51.9 | 25 |

Cell and atoms:
a b c (Å): 11.495 4.556 8.820
angles (deg): 90.00 109.13 90.00
Space group C2/m (No. 12)
Inequivalent atoms, fractional coordinates:
Li 0.186 0.000 0.365 x4
Y 0.000 0.500 0.000 x2
Y 0.132 0.000 0.688 x4
Sn 0.076 0.500 0.389 x4
Sn 0.204 0.000 0.073 x4